1.
Li5Cu3Te2O10: theoretical PXRD pattern (copper Kα), based on the GGA-PBE geometry in Alexandria.
Intensities are scaled so that the largest is 100.

```
data_Li5Cu3Te2O10
_symmetry_space_group_name_H-M 'P -1'
_symmetry_Int_Tables_number 2
_symmetry_space_group_name_Hall '-P 1'
_cell_length_a 5.573
_cell_length_b 5.783
_cell_length_c 7.927
_cell_angle_alpha 71.91
_cell_angle_beta 72.40
_cell_angle_gamma 73.02
loop_
_atom_site_label
_atom_site_type_symbol
_atom_site_fract_x
_atom_site_fract_y
_atom_site_fract_z
Li1 Li 0.000 0.000 0.000
Li2 Li 0.123 0.398 0.132
Li3 Li 0.433 0.764 0.692
Cu1 Cu 0.000 0.000 0.500
Cu2 Cu 0.108 0.337 0.616
Te1 Te 0.445 0.802 0.194
O1 O 0.114 0.045 0.245
O2 O 0.248 0.438 0.869
O3 O 0.251 0.541 0.276
O4 O 0.382 0.899 0.935
O5 O 0.471 0.189 0.590
```

Most intense lines, 2θ = 10–90°, in order of rising 2θ:
| index | 2θ/deg | intensity |
| --- | --- | --- |
| 0 1 1 | 18.0 | 100 |
| 1 0 1 | 18.5 | 60 |
| 1 1 1 | 19.9 | 28 |
| 0 1 -1 | 22.8 | 49 |
| 1 2 0 | 34.1 | 36 |
| 1 -1 2 | 36.2 | 23 |
| 1 0 3 | 36.8 | 30 |
| 2 2 2 | 40.4 | 31 |
| 2 -1 0 | 41.9 | 28 |
| 1 1 4 | 45.9 | 36 |

2.
SnIBr4: theoretical PXRD pattern (copper Kα), based on the GGA-PBE geometry in Alexandria.
Intensities are scaled so that the largest is 100.

```
data_SnIBr4
_symmetry_space_group_name_H-M 'P 1'
_symmetry_Int_Tables_number 1
_symmetry_space_group_name_Hall 'P 1'
_cell_length_a 7.664
_cell_length_b 7.664
_cell_length_c 8.232
_cell_angle_alpha 117.67
_cell_angle_beta 117.72
_cell_angle_gamma 90.00
loop_
_atom_site_label
_atom_site_type_symbol
_atom_site_fract_x
_atom_site_fract_y
_atom_site_fract_z
Sn1 Sn 0.000 0.000 0.000
I1 I 0.750 0.250 0.500
Br1 Br 0.233 0.766 0.002
Br2 Br 0.234 0.232 0.998
Br3 Br 0.764 0.767 0.999
Br4 Br 0.768 0.236 0.001
```

Most intense lines, 2θ = 10–90°, in order of rising 2θ:
| index | 2θ/deg | intensity |
| --- | --- | --- |
| 1 0 0 | 13.6 | 100 |
| 0 0 1 | 14.3 | 61 |
| 1 1 0 | 21.8 | 53 |
| 1 0 1 | 24.5 | 26 |
| 2 1 -1 | 27.0 | 24 |
| 2 0 0 | 27.4 | 53 |
| 0 0 2 | 28.8 | 36 |
| 2 2 -2 | 33.1 | 47 |
| 2 2 -1 | 36.2 | 23 |
| 2 2 0 | 44.4 | 41 |

3.
Ac3AgSb2Au6: theoretical PXRD pattern (copper Kα), based on the GGA-PBE geometry in Alexandria.
Intensities are scaled so that the largest is 100.

```
data_Ac3AgSb2Au6
_symmetry_space_group_name_H-M 'P -3 m 1'
_symmetry_Int_Tables_number 164
_symmetry_space_group_name_Hall '-P 3 2"'
_cell_length_a 6.4433
_cell_length_b 6.4433
_cell_length_c 8.9128
_cell_angle_alpha 90.00
_cell_angle_beta 90.00
_cell_angle_gamma 120.00
loop_
_atom_site_label
_atom_site_type_symbol
_atom_site_fract_x
_atom_site_fract_y
_atom_site_fract_z
Ac1 Ac 0.0000 0.0000 0.0000
Ac2 Ac 0.3333 0.6667 0.6299
Ag1 Ag 0.0000 0.0000 0.5000
Sb1 Sb 0.3333 0.6667 0.0429
Au1 Au 0.1770 0.3540 0.2880
```

Most intense lines, 2θ = 10–90°, in order of rising 2θ:
| index | 2θ/deg | intensity |
| --- | --- | --- |
| 0 1 2 | 25.6 | 15 |
| 1 1 0 | 27.7 | 22 |
| 0 0 3 | 30.1 | 28 |
| 0 2 1 | 33.7 | 100 |
| 1 1 2 | 34.3 | 45 |
| 2 0 2 | 38.1 | 70 |
| 0 1 4 | 43.7 | 17 |
| 0 2 3 | 44.6 | 22 |
| 2 2 0 | 57.2 | 33 |
| 2 2 3 | 66.0 | 18 |

4.
LaTa2: theoretical PXRD pattern (copper Kα), based on the GGA-PBE geometry in Alexandria.
Intensities are scaled so that the largest is 100.

```
data_LaTa2
_symmetry_space_group_name_H-M 'I 4/m m m'
_symmetry_Int_Tables_number 139
_symmetry_space_group_name_Hall '-I 4 2'
_cell_length_a 3.518
_cell_length_b 3.518
_cell_length_c 11.569
_cell_angle_alpha 90.00
_cell_angle_beta 90.00
_cell_angle_gamma 90.00
loop_
_atom_site_label
_atom_site_type_symbol
_atom_site_fract_x
_atom_site_fract_y
_atom_site_fract_z
La1 La 0.000 0.000 0.000
Ta1 Ta 0.000 0.000 0.303
```

Most intense lines, 2θ = 10–90°, in order of rising 2θ:
| index | 2θ/deg | intensity |
| --- | --- | --- |
| 0 0 2 | 15.3 | 19 |
| 1 0 3 | 34.5 | 100 |
| 1 1 0 | 36.1 | 57 |
| 1 0 5 | 47.0 | 11 |
| 1 1 4 | 48.3 | 10 |
| 2 0 0 | 52.0 | 20 |
| 1 0 7 | 62.0 | 16 |
| 2 1 3 | 63.9 | 34 |
| 2 0 6 | 72.7 | 11 |
| 2 1 7 | 85.2 | 13 |

5.
LiAc6CoRh: theoretical PXRD pattern (copper Kα), based on the GGA-PBE geometry in Alexandria.
Intensities are scaled so that the largest is 100.

```
data_LiAc6CoRh
_symmetry_space_group_name_H-M 'P 3 1 2'
_symmetry_Int_Tables_number 149
_symmetry_space_group_name_Hall 'P 3 2'
_cell_length_a 7.4677
_cell_length_b 7.4677
_cell_length_c 7.2086
_cell_angle_alpha 90.00
_cell_angle_beta 90.00
_cell_angle_gamma 120.00
loop_
_atom_site_label
_atom_site_type_symbol
_atom_site_fract_x
_atom_site_fract_y
_atom_site_fract_z
Li1 Li 0.0000 0.0000 0.0000
Ac1 Ac 0.3677 0.0087 0.7324
Co1 Co 0.6667 0.3333 0.5000
Rh1 Rh 0.3333 0.6667 0.5000
```

Most intense lines, 2θ = 10–90°, in order of rising 2θ:
| index | 2θ/deg | intensity |
| --- | --- | --- |
| 1 1 0 | 23.8 | 12 |
| 0 0 2 | 24.7 | 21 |
| 2 -1 1 | 26.9 | 100 |
| 2 -1 2 | 34.6 | 30 |
| 3 0 0 | 41.9 | 24 |
| 1 1 3 | 44.9 | 27 |
| 3 0 2 | 49.3 | 16 |
| 2 2 1 | 50.5 | 15 |
| 3 0 4 | 67.8 | 10 |
| 4 1 3 | 78.6 | 9 |

6.
RbScTl2I6: theoretical PXRD pattern (copper Kα), based on the GGA-PBE geometry in Alexandria.
Intensities are scaled so that the largest is 100.

```
data_RbScTl2I6
_symmetry_space_group_name_H-M 'P 1'
_symmetry_Int_Tables_number 1
_symmetry_space_group_name_Hall 'P 1'
_cell_length_a 8.585
_cell_length_b 8.605
_cell_length_c 8.977
_cell_angle_alpha 61.45
_cell_angle_beta 61.44
_cell_angle_gamma 60.08
loop_
_atom_site_label
_atom_site_type_symbol
_atom_site_fract_x
_atom_site_fract_y
_atom_site_fract_z
Rb1 Rb 0.000 0.000 0.000
Sc1 Sc 0.509 0.509 0.472
Tl1 Tl 0.193 0.192 0.421
Tl2 Tl 0.706 0.706 0.881
I1 I 0.171 0.728 0.690
I2 I 0.316 0.589 0.235
I3 I 0.411 0.171 0.690
I4 I 0.590 0.858 0.235
I5 I 0.730 0.410 0.689
I6 I 0.859 0.317 0.234
```

Most intense lines, 2θ = 10–90°, in order of rising 2θ:
| index | 2θ/deg | intensity |
| --- | --- | --- |
| 1 1 0 | 14.3 | 49 |
| 1 1 2 | 19.8 | 46 |
| 1 2 2 | 23.8 | 87 |
| 2 1 0 | 23.9 | 39 |
| 2 0 0 | 25.2 | 27 |
| 0 2 2 | 28.8 | 32 |
| 1 2 -1 | 31.7 | 100 |
| 1 3 2 | 32.8 | 31 |
| 1 3 0 | 35.7 | 43 |
| 3 3 2 | 36.2 | 60 |

7.
BaHo2AgSe4: theoretical PXRD pattern (copper Kα), based on the GGA-PBE geometry in Alexandria.
Intensities are scaled so that the largest is 100.

```
data_BaHo2AgSe4
_symmetry_space_group_name_H-M 'C m c m'
_symmetry_Int_Tables_number 63
_symmetry_space_group_name_Hall '-C 2c 2'
_cell_length_a 4.267
_cell_length_b 13.991
_cell_length_c 14.452
_cell_angle_alpha 90.00
_cell_angle_beta 90.00
_cell_angle_gamma 90.00
loop_
_atom_site_label
_atom_site_type_symbol
_atom_site_fract_x
_atom_site_fract_y
_atom_site_fract_z
Ba1 Ba 0.000 0.130 0.250
Ho1 Ho 0.000 0.377 0.060
Ag1 Ag 0.000 0.147 0.750
Se1 Se 0.000 0.000 0.000
Se2 Se 0.000 0.266 0.607
Se3 Se 0.000 0.457 0.250
```

Most intense lines, 2θ = 10–90°, in order of rising 2θ:
| index | 2θ/deg | intensity |
| --- | --- | --- |
| 0 2 3 | 22.4 | 26 |
| 1 1 2 | 25.1 | 19 |
| 1 3 1 | 29.0 | 36 |
| 1 3 2 | 31.0 | 100 |
| 1 3 3 | 34.0 | 19 |
| 0 0 6 | 37.3 | 17 |
| 1 5 2 | 40.5 | 21 |
| 2 0 0 | 42.4 | 45 |
| 1 5 3 | 43.0 | 25 |
| 0 6 3 | 43.1 | 20 |

8.
Fe3Mo3N: theoretical PXRD pattern (copper Kα), based on the GGA-PBE geometry in Alexandria.
Intensities are scaled so that the largest is 100.

a = 11.033 Å, b = 11.033 Å, c = 11.033 Å
α = 90.00°, β = 90.00°, γ = 90.00°
Space group Fd-3m (No. 227, origin choice 2)
Symmetry-distinct sites (fractional):
1 Fe 0.000 0.000 0.000 (multiplicity 16)
2 Fe 0.048 0.048 0.202 (multiplicity 32)
3 Mo 0.077 0.375 0.875 (multiplicity 48)
4 N 0.000 0.000 0.500 (multiplicity 16)

Most intense lines, 2θ = 10–90°, in order of rising 2θ:
| index | 2θ/deg | intensity |
| --- | --- | --- |
| 4 0 0 | 32.5 | 14 |
| 3 3 1 | 35.5 | 17 |
| 4 2 2 | 40.0 | 43 |
| 3 3 3 | 42.6 | 100 |
| 4 4 0 | 46.6 | 46 |
| 5 5 1 | 59.9 | 8 |
| 7 3 3 | 69.8 | 12 |
| 8 2 2 | 72.7 | 36 |
| 5 5 5 | 74.5 | 9 |
| 7 7 1 | 88.1 | 17 |